[1]
Structure and computed powder XRD pattern of PmPuTh (a DFT-relaxed cell (PBE, Alexandria); CuKα).

Principal peaks in the range 2θ from 10° to 90°, by intensity:
(hkl), 2θ (°), d [Å], Rel. int.
1 2 -1, 31.2, 2.864, 100.0
0 1 3, 34.6, 2.592, 82.0
2 1 1, 33.3, 2.693, 49.5
2 1 -1, 33.2, 2.702, 47.2
0 3 1, 40.2, 2.243, 36.6
1 1 -2, 28.6, 3.120, 35.7

Crystal structure
Lattice parameters (Å, degrees): 6.2422 6.9839 8.3747 90.00 90.33 90.00
Space group P2_1/c (No. 14)
Symmetry-distinct sites (fractional):
1 Pm 0.0017 0.1322 0.3280
2 Pu 0.2571 0.5019 0.5002
3 Th 0.4981 0.1378 0.6737


[2]
Structure and computed powder XRD pattern of NbTl (a DFT-relaxed cell (PBE, Alexandria); CuKα).

Principal peaks in the range 2θ from 10° to 90°, by intensity:
(hkl), 2θ (°), d [Å], Rel. int.
1 2 2, 38.2, 2.356, 100.0
0 0 4, 34.9, 2.569, 98.3
2 0 1, 34.3, 2.613, 56.9
2 0 3, 42.6, 2.122, 31.2
1 2 3, 43.1, 2.097, 22.9
1 2 6, 64.8, 1.440, 20.3

Crystal structure
Lattice parameters (Å, degrees): 5.4026 6.0845 10.2863 90.00 90.00 90.00
Space group P2_12_12_1 (No. 19)
Symmetry-distinct sites (fractional):
1 Nb 0.1507 0.2391 0.3881
2 Nb 0.1536 0.0217 0.6263
3 Tl 0.1312 0.7454 0.3710
4 Tl 0.1395 0.5074 0.6302


[3]
Structure and computed powder XRD pattern of Dy5Tl2Zn (a DFT-relaxed cell (PBE, Alexandria); CuKα).

Principal peaks in the range 2θ from 10° to 90°, by intensity:
(hkl), 2θ (°), d [Å], Rel. int.
1 3 3, 33.6, 2.668, 100.0
2 0 0, 31.7, 2.822, 64.3
1 1 4, 32.8, 2.730, 53.2
1 5 0, 38.5, 2.336, 35.0
0 4 1, 28.7, 3.111, 30.7
0 2 3, 25.0, 3.565, 23.8

Crystal structure
Lattice parameters (Å, degrees): 5.6439 12.8261 12.8658 90.00 90.00 90.00
Space group Cmcm (No. 63)
Symmetry-distinct sites (fractional):
1 Dy 0.0000 0.0562 0.1098
2 Dy 0.0000 0.3819 0.0499
3 Dy 0.0000 0.4058 0.7500
4 Tl 0.0000 0.2003 0.6219
5 Zn 0.0000 0.2433 0.2500


[4]
Structure and computed powder XRD pattern of Rb7I5Br (a DFT-relaxed cell (PBE, Alexandria); CuKα).

Principal peaks in the range 2θ from 10° to 90°, by intensity:
(hkl), 2θ (°), d [Å], Rel. int.
3 1 -3, 24.5, 3.630, 100.0
3 1 2, 23.7, 3.756, 66.5
1 1 -10, 33.8, 2.651, 59.5
2 0 7, 22.2, 4.012, 44.4
0 2 0, 35.0, 2.560, 38.7
1 1 -9, 31.4, 2.852, 35.7

Crystal structure
Lattice parameters (Å, degrees): 17.7063 5.1209 31.5015 90.00 90.19 90.00
Space group Cm (No. 8)
Symmetry-distinct sites (fractional):
1 Rb 0.0000 0.0000 0.0000
2 Rb 0.9995 0.0000 0.4274
3 Rb 0.0454 0.5000 0.2821
4 Rb 0.0471 0.5000 0.1455
5 Rb 0.1769 0.0000 0.7818
6 Rb 0.1781 0.0000 0.6455
7 Rb 0.2242 0.5000 0.5002
8 Rb 0.2240 0.5000 0.9272
9 Rb 0.2762 0.0000 0.3569
10 Rb 0.2774 0.0000 0.0703
11 Rb 0.2918 0.5000 0.2133
12 Rb 0.4319 0.5000 0.7138
13 Rb 0.4475 0.0000 0.5706
14 Rb 0.4466 0.0000 0.8570
15 I 0.0864 0.0000 0.8895
16 I 0.0868 0.0000 0.5378
17 I 0.1370 0.5000 0.3898
18 I 0.1376 0.5000 0.0376
19 I 0.3142 0.5000 0.8193
20 I 0.3152 0.5000 0.6080
21 I 0.3619 0.0000 0.4638
22 I 0.3620 0.0000 0.9636
23 I 0.4083 0.5000 0.3196
24 I 0.4101 0.5000 0.1078
25 Br 0.0959 0.5000 0.7130
26 Br 0.1275 0.0000 0.2149


Q: Number 1 is which compound?
A: PmPuTh